No. 1
Starting from the PBE geometry in Alexandria, the powder XRD pattern of Cs2Pa3TlSe8 was simulated for Cu Kα, 1.54184 Å.
Kinematic intensities with the Lorentz-polarization factor, no thermal factor.

Cell and atoms:
Cell lengths 10.081, 10.081, 10.081 Å; angles 50.09, 50.09, 50.09 degrees
Fractional positions:
Cs 0.000 0.000 0.000
Cs 0.358 0.358 0.358
Pa 0.499 0.998 0.998
Pa 0.998 0.499 0.998
Pa 0.998 0.998 0.499
Tl 0.613 0.613 0.613
Se 0.198 0.737 0.737
Se 0.223 0.223 0.223
Se 0.262 0.262 0.803
Se 0.262 0.803 0.262
Se 0.737 0.198 0.737
Se 0.737 0.737 0.198
Se 0.774 0.774 0.774
Se 0.803 0.262 0.262

The 10 most intense peaks (2θ = 10–80°), sorted by position:
2θ (°)	I/Imax
10.06	100.0
18.02	43.9
20.68	44.8
23.17	82.3
24.32	48.3
27.67	77.8
33.97	78.7
36.39	33.7
36.51	59.6
42.36	76.4

No. 2
Starting from the PBE geometry in Alexandria, the powder XRD pattern of Na3In3Sn2 was simulated for Cu Kα, 1.54184 Å.
Kinematic intensities with the Lorentz-polarization factor, no thermal factor.

Cell and atoms:
Cell lengths 6.017, 6.017, 6.017 Å; angles 90.59, 90.59, 90.59 degrees
Fractional positions:
Na 0.000 0.248 0.752
Na 0.248 0.752 0.000
Na 0.752 0.000 0.248
In 0.251 0.749 0.500
In 0.500 0.251 0.749
In 0.749 0.500 0.251
Sn 0.261 0.261 0.261
Sn 0.739 0.739 0.739

The 10 most intense peaks (2θ = 10–80°), sorted by position:
2θ (°)	I/Imax
14.72	30.2
20.77	50.6
29.70	69.5
33.16	62.1
33.44	69.4
36.39	40.2
36.52	100.0
36.91	38.0
57.03	50.0
61.67	25.2

No. 3
Starting from the PBE geometry in Alexandria, the powder XRD pattern of Ca6AlAg was simulated for Cu Kα, 1.54184 Å.
Kinematic intensities with the Lorentz-polarization factor, no thermal factor.

Cell and atoms:
Cell lengths 10.173, 10.173, 10.173 Å; angles 149.53, 149.53, 43.63 degrees
Fractional positions:
Ca 0.095 0.595 0.500
Ca 0.248 0.248 0.000
Ca 0.405 0.905 0.500
Ca 0.595 0.095 0.500
Ca 0.752 0.752 0.000
Ca 0.905 0.405 0.500
Al 0.000 0.000 0.000
Ag 0.500 0.500 0.000

The 10 most intense peaks (2θ = 10–80°), sorted by position:
2θ (°)	I/Imax
17.24	21.8
21.81	14.5
30.28	100.0
33.52	48.0
37.16	19.8
45.28	11.2
48.14	18.6
51.65	9.5
57.93	27.8
62.34	7.9